Record 1
# HoLuHg2
Calculated powder X-ray diffraction pattern, λ = 1.5418 Å (Cu Kα). Input: the PBE geometry in the Materials Project.
Lines closer than 0.1° are merged.

Cell and atoms:
```
HoLuHg2
1.0
0.000 3.682 3.682
3.682 0.000 3.682
3.682 3.682 0.000
Ho Lu Hg
1 1 2
direct
0.000 0.000 0.000
0.500 0.500 0.500
0.250 0.250 0.250
0.750 0.750 0.750
```

Most intense lines, 10° ≤ 2θ ≤ 90°, in order of falling intensity:
2θ/deg  Rel. int.
34.45  100
61.72  38
49.52  18
82.93  17
72.64  12
24.17  1

***

Record 2
# Ho2HgOs
Calculated powder X-ray diffraction pattern, λ = 1.5418 Å (Cu Kα). Input: the PBE geometry in the Materials Project.
Lines closer than 0.1° are merged.

Cell and atoms:
```
Ho2HgOs
1.0
0.000 3.536 3.536
3.536 0.000 3.536
3.536 3.536 0.000
Ho Hg Os
2 1 1
direct
0.250 0.250 0.250
0.750 0.750 0.750
0.000 0.000 0.000
0.500 0.500 0.500
```

Most intense lines, 10° ≤ 2θ ≤ 90°, in order of falling intensity:
2θ/deg  Rel. int.
35.92  100
64.55  37
51.70  18
87.17  17
76.14  12
25.18  1